1.
Computed XRD peak list of AlAsO4 for λ = 1.5418 Å (Cu Kα), from the GGA-PBE geometry in the Materials Project.
Intensities are scaled so that the largest is 100.

Main lines, sorted by position (5 to 70 degrees two-theta):
2θ (°)  Rel. int.
19.95  19.7
21.41  23.5
25.33  100.0
34.91  8.7
37.32  14.7
38.39  8.5
40.53  13.7
47.54  15.2
57.05  14.6
64.22  19.6

Crystal structure
Unit cell a=5.1399 b=5.1399 c=11.4626 alpha=90.00 beta=90.00 gamma=120.00
Atoms (fractional coordinates):
Al: 0.0000 0.4616 0.1667
Al: 0.4616 0.0000 0.8333
Al: 0.5384 0.5384 0.5000
As: 0.0000 0.4602 0.6667
As: 0.4602 0.0000 0.3333
As: 0.5398 0.5398 0.0000
O: 0.1156 0.7090 0.7800
O: 0.1234 0.7179 0.2846
O: 0.2821 0.4055 0.6179
O: 0.2910 0.4066 0.1133
O: 0.4055 0.2821 0.3821
O: 0.4066 0.2910 0.8867
O: 0.5934 0.8844 0.4467
O: 0.5945 0.8766 0.9512
O: 0.7090 0.1156 0.2200
O: 0.7179 0.1234 0.7154
O: 0.8766 0.5945 0.0488
O: 0.8844 0.5934 0.5533

---

2.
Computed XRD peak list of RbAlAs2O7 for λ = 1.5418 Å (Cu Kα), from the GGA-PBE geometry in the Materials Project.
Intensities are scaled so that the largest is 100.

Main lines, sorted by position (5 to 70 degrees two-theta):
2θ (°)  Rel. int.
20.19  35.2
20.87  27.1
21.80  44.0
27.13  82.1
28.63  74.7
28.94  100.0
29.76  48.1
30.05  38.8
36.02  38.3
36.68  25.9

Crystal structure
Unit cell a=6.3550 b=6.4370 c=8.4143 alpha=96.84 beta=104.00 gamma=102.58
Atoms (fractional coordinates):
Rb: 0.0000 0.0000 0.0000
Rb: 0.0000 0.0000 0.5000
Al: 0.3759 0.6847 0.2295
Al: 0.6241 0.3153 0.7705
As: 0.1778 0.4728 0.8145
As: 0.4919 0.2428 0.3369
As: 0.5081 0.7572 0.6631
As: 0.8222 0.5272 0.1855
O: 0.0912 0.6778 0.2714
O: 0.2219 0.6397 0.6599
O: 0.2260 0.6467 0.9940
O: 0.3264 0.3790 0.2224
O: 0.3365 0.2909 0.8128
O: 0.4192 0.9877 0.2280
O: 0.4687 0.2543 0.5340
O: 0.5313 0.7457 0.4660
O: 0.5808 0.0123 0.7720
O: 0.6635 0.7091 0.1872
O: 0.6736 0.6210 0.7776
O: 0.7740 0.3533 0.0060
O: 0.7781 0.3603 0.3401
O: 0.9088 0.3222 0.7286

---

3.
Computed XRD peak list of Sr3AlAs3 for λ = 1.5418 Å (Cu Kα), from the GGA-PBE geometry in the Materials Project.
Intensities are scaled so that the largest is 100.

Main lines, sorted by position (5 to 70 degrees two-theta):
2θ (°)  Rel. int.
26.84  54.9
27.73  88.3
27.87  78.7
29.28  37.1
33.49  20.7
34.07  17.7
35.48  14.9
39.02  100.0
39.72  72.2
48.59  33.5

Crystal structure
Unit cell a=10.2065 b=10.2065 c=12.8068 alpha=90.00 beta=90.00 gamma=37.99
Atoms (fractional coordinates):
Sr: 0.0109 0.6350 0.1309
Sr: 0.1350 0.5109 0.6309
Sr: 0.1756 0.8244 0.8495
Sr: 0.3244 0.6756 0.3495
Sr: 0.3650 0.9891 0.1309
Sr: 0.4891 0.8650 0.6309
Sr: 0.5109 0.1350 0.3691
Sr: 0.6350 0.0109 0.8691
Sr: 0.6756 0.3244 0.6505
Sr: 0.8244 0.1756 0.1505
Sr: 0.8650 0.4891 0.3691
Sr: 0.9891 0.3650 0.8691
Al: 0.0847 0.0847 0.5000
Al: 0.4153 0.4153 0.0000
Al: 0.5847 0.5847 0.0000
Al: 0.9153 0.9153 0.5000
As: 0.0457 0.6371 0.3798
As: 0.1371 0.5457 0.8798
As: 0.2084 0.7916 0.6021
As: 0.2916 0.7084 0.1021
As: 0.3629 0.9543 0.3798
As: 0.4543 0.8629 0.8798
As: 0.5457 0.1371 0.1202
As: 0.6371 0.0457 0.6202
As: 0.7084 0.2916 0.8979
As: 0.7916 0.2084 0.3979
As: 0.8629 0.4543 0.1202
As: 0.9543 0.3629 0.6202

---

4.
Computed XRD peak list of Sr3Al2As4 for λ = 1.5418 Å (Cu Kα), from the GGA-PBE geometry in the Materials Project.
Intensities are scaled so that the largest is 100.

Main lines, sorted by position (5 to 70 degrees two-theta):
2θ (°)  Rel. int.
24.92  58.8
25.86  60.5
26.16  84.1
28.02  38.6
29.10  46.7
29.24  48.8
33.97  100.0
34.74  55.3
37.05  87.3
37.20  37.4

Crystal structure
Unit cell a=8.6189 b=8.6189 c=6.8909 alpha=90.23 beta=90.23 gamma=75.52
Atoms (fractional coordinates):
Sr: 0.0983 0.9017 0.7500
Sr: 0.2483 0.5070 0.4617
Sr: 0.4930 0.7517 0.0383
Sr: 0.5070 0.2483 0.9617
Sr: 0.7517 0.4930 0.5383
Sr: 0.9017 0.0983 0.2500
Al: 0.0818 0.3283 0.9192
Al: 0.3283 0.0818 0.4192
Al: 0.6717 0.9182 0.5808
Al: 0.9182 0.6717 0.0808
As: 0.0760 0.2414 0.5737
As: 0.2087 0.5595 0.9753
As: 0.2414 0.0760 0.0737
As: 0.4405 0.7913 0.5247
As: 0.5595 0.2087 0.4753
As: 0.7586 0.9240 0.9263
As: 0.7913 0.4405 0.0247
As: 0.9240 0.7586 0.4263

---

5.
Computed XRD peak list of AlAu2 for λ = 1.5418 Å (Cu Kα), from the GGA-PBE geometry in the Materials Project.
Intensities are scaled so that the largest is 100.

Main lines, sorted by position (5 to 70 degrees two-theta):
2θ (°)  Rel. int.
19.70  19.8
27.93  45.6
28.73  48.7
37.84  100.0
39.97  91.3
40.54  80.1
53.65  13.1
55.51  18.6
56.24  21.8
69.35  21.2

Crystal structure
Unit cell a=9.0138 b=17.0835 c=3.3109 alpha=90.00 beta=90.00 gamma=90.00
Atoms (fractional coordinates):
Al: 0.0000 0.0000 0.0000
Al: 0.0236 0.2015 0.0000
Al: 0.0264 0.5989 0.0000
Al: 0.4736 0.0989 0.5000
Al: 0.4764 0.7015 0.5000
Al: 0.5000 0.5000 0.5000
Al: 0.5236 0.2985 0.5000
Al: 0.5264 0.9011 0.5000
Al: 0.9736 0.4011 0.0000
Al: 0.9764 0.7985 0.0000
Au: 0.1338 0.8947 0.5000
Au: 0.1419 0.3131 0.5000
Au: 0.1553 0.4866 0.5000
Au: 0.1656 0.7135 0.5000
Au: 0.1757 0.0964 0.5000
Au: 0.3243 0.5964 0.0000
Au: 0.3344 0.2135 0.0000
Au: 0.3447 0.9866 0.0000
Au: 0.3581 0.8131 0.0000
Au: 0.3662 0.3947 0.0000
Au: 0.6338 0.6053 0.0000
Au: 0.6419 0.1869 0.0000
Au: 0.6553 0.0134 0.0000
Au: 0.6656 0.7865 0.0000
Au: 0.6757 0.4036 0.0000
Au: 0.8243 0.9036 0.5000
Au: 0.8344 0.2865 0.5000
Au: 0.8447 0.5134 0.5000
Au: 0.8581 0.6869 0.5000
Au: 0.8662 0.1053 0.5000

---

6.
Computed XRD peak list of AlAu2 for λ = 1.5418 Å (Cu Kα), from the GGA-PBE geometry in the Materials Project.
Intensities are scaled so that the largest is 100.

Main lines, sorted by position (5 to 70 degrees two-theta):
2θ (°)  Rel. int.
19.55  19.5
27.77  46.1
28.96  51.4
32.31  10.3
37.94  100.0
39.68  89.7
40.57  93.8
53.34  11.0
56.09  39.7
69.10  19.2

Crystal structure
Unit cell a=6.8703 b=3.2780 c=9.0828 alpha=90.00 beta=90.00 gamma=90.00
Atoms (fractional coordinates):
Al: 0.1296 0.2500 0.2205
Al: 0.3704 0.7500 0.7205
Al: 0.6296 0.2500 0.2795
Al: 0.8704 0.7500 0.7795
Au: 0.0864 0.2500 0.6159
Au: 0.1502 0.2500 0.9229
Au: 0.3498 0.7500 0.4229
Au: 0.4136 0.7500 0.1159
Au: 0.5864 0.2500 0.8841
Au: 0.6502 0.2500 0.5771
Au: 0.8498 0.7500 0.0771
Au: 0.9136 0.7500 0.3841

---

7.
Computed XRD peak list of AlAu4 for λ = 1.5418 Å (Cu Kα), from the GGA-PBE geometry in the Materials Project.
Intensities are scaled so that the largest is 100.

Main lines, sorted by position (5 to 70 degrees two-theta):
2θ (°)  Rel. int.
8.13  24.1
32.95  16.0
35.34  100.0
38.91  37.7
41.52  25.6
41.80  57.0
48.13  19.8
53.46  15.9
63.75  18.7
68.06  14.9

Crystal structure
Unit cell a=2.9694 b=2.9694 c=10.9180 alpha=94.15 beta=94.15 gamma=70.52
Atoms (fractional coordinates):
Al: 0.0000 0.0000 0.0000
Au: 0.1987 0.1987 0.6059
Au: 0.3869 0.3869 0.1781
Au: 0.6131 0.6131 0.8219
Au: 0.8013 0.8013 0.3941

---

8.
Computed XRD peak list of AlAu for λ = 1.5418 Å (Cu Kα), from the GGA-PBE geometry in the Materials Project.
Intensities are scaled so that the largest is 100.

Main lines, sorted by position (5 to 70 degrees two-theta):
2θ (°)  Rel. int.
27.67  72.5
39.53  100.0
48.93  21.3
57.14  17.2
64.65  28.1

Crystal structure
Unit cell a=3.2239 b=3.2239 c=3.2239 alpha=90.00 beta=90.00 gamma=90.00
Atoms (fractional coordinates):
Al: 0.0000 0.0000 0.0000
Au: 0.5000 0.5000 0.5000

---

9.
Computed XRD peak list of AlAu for λ = 1.5418 Å (Cu Kα), from the GGA-PBE geometry in the Materials Project.
Intensities are scaled so that the largest is 100.

Main lines, sorted by position (5 to 70 degrees two-theta):
2θ (°)  Rel. int.
19.10  25.1
27.66  61.0
27.85  30.7
29.67  100.0
40.56  67.0
40.67  35.2
41.44  54.0
41.55  21.9
44.09  20.8
53.74  16.2

Crystal structure
Unit cell a=6.4121 b=3.4114 c=6.4564 alpha=90.00 beta=92.49 gamma=90.00
Atoms (fractional coordinates):
Al: 0.0496 0.2500 0.3203
Al: 0.4216 0.2500 0.8193
Al: 0.5784 0.7500 0.1807
Al: 0.9504 0.7500 0.6797
Au: 0.1924 0.7500 0.0222
Au: 0.3114 0.7500 0.4968
Au: 0.6886 0.2500 0.5032
Au: 0.8076 0.2500 0.9778

---

10.
Computed XRD peak list of AlAu4 for λ = 1.5418 Å (Cu Kα), from the GGA-PBE geometry in the Materials Project.
Intensities are scaled so that the largest is 100.

Main lines, sorted by position (5 to 70 degrees two-theta):
2θ (°)  Rel. int.
28.29  22.8
31.05  11.5
38.27  100.0
40.43  60.7
42.50  20.3
55.24  10.7
58.51  9.8
66.24  7.6
67.73  24.1
69.20  9.2

Crystal structure
Unit cell a=7.0546 b=7.0546 c=7.0546 alpha=90.00 beta=90.00 gamma=90.00
Atoms (fractional coordinates):
Al: 0.0634 0.0634 0.0634
Al: 0.4366 0.9366 0.5634
Al: 0.5634 0.4366 0.9366
Al: 0.9366 0.5634 0.4366
Au: 0.0508 0.8862 0.7149
Au: 0.1138 0.2149 0.4492
Au: 0.1826 0.8174 0.3174
Au: 0.2149 0.4492 0.1138
Au: 0.2851 0.5508 0.6138
Au: 0.3174 0.1826 0.8174
Au: 0.3862 0.7851 0.9492
Au: 0.4492 0.1138 0.2149
Au: 0.5508 0.6138 0.2851
Au: 0.6138 0.2851 0.5508
Au: 0.6826 0.6826 0.6826
Au: 0.7149 0.0508 0.8862
Au: 0.7851 0.9492 0.3862
Au: 0.8174 0.3174 0.1826
Au: 0.8862 0.7149 0.0508
Au: 0.9492 0.3862 0.7851

---

11.
Computed XRD peak list of Al3Au for λ = 1.5418 Å (Cu Kα), from the GGA-PBE geometry in the Materials Project.
Intensities are scaled so that the largest is 100.

Main lines, sorted by position (5 to 70 degrees two-theta):
2θ (°)  Rel. int.
21.91  32.6
24.56  100.0
31.23  27.9
38.47  85.7
40.09  29.0
44.72  42.0
50.36  15.2
51.70  28.2
61.60  25.2
65.10  27.6

Crystal structure
Unit cell a=4.9659 b=4.9659 c=4.9659 alpha=131.86 beta=131.86 gamma=70.45
Atoms (fractional coordinates):
Al: 0.0000 0.0000 0.0000
Al: 0.2500 0.7500 0.5000
Al: 0.7500 0.2500 0.5000
Au: 0.5000 0.5000 0.0000

---

> What is the formula in the second record?

RbAlAs2O7